Calculated powder X-ray diffraction pattern
Compound: Sc2TaMo
Radiation: Cu Kα X-rays
Structure: DFT lattice parameters and positions (GGA-PBE)
Lines closer than 0.1° are merged.

Atomic structure:
```
Sc2TaMo
1.0
1.685 -2.478 0.000
1.685 2.478 0.000
0.000 0.000 9.611
Sc Ta Mo
2 1 1
Direct
0.000 0.000 0.000 Sc
0.500 0.500 0.301 Sc
0.500 0.500 0.743 Ta
0.000 0.000 0.534 Mo
```

Main lines, in order of rising 2θ (2θ from 10° to 90°):
2theta, I (rel.)
33.48, 15
36.25, 29
37.30, 100
37.45, 31
43.02, 29
53.09, 14
54.46, 9
65.90, 18
67.19, 9
67.44, 8
67.97, 11
77.50, 9

***

Calculated powder X-ray diffraction pattern
Compound: Mn
Radiation: Cu Kα X-rays
Structure: DFT lattice parameters and positions (GGA-PBE)
Lines closer than 0.1° are merged.

Atomic structure:
```
Mn
1.0
6.026 0.000 0.000
0.000 6.026 0.000
0.000 0.000 6.026
Mn
20
Direct
0.053 0.125 0.803 Mn
0.054 0.946 0.446 Mn
0.125 0.803 0.053 Mn
0.196 0.196 0.196 Mn
0.197 0.553 0.375 Mn
0.303 0.447 0.875 Mn
0.304 0.804 0.696 Mn
0.375 0.197 0.553 Mn
0.446 0.054 0.946 Mn
0.447 0.875 0.303 Mn
0.553 0.375 0.197 Mn
0.554 0.554 0.554 Mn
0.625 0.697 0.947 Mn
0.696 0.304 0.804 Mn
0.697 0.947 0.625 Mn
0.803 0.053 0.125 Mn
0.804 0.696 0.304 Mn
0.875 0.303 0.447 Mn
0.946 0.446 0.054 Mn
0.947 0.625 0.697 Mn
```

Main lines, in order of rising 2θ (2θ from 10° to 90°):
2theta, I (rel.)
33.25, 5
42.43, 4
45.14, 100
47.73, 55
50.22, 36
57.20, 7
65.75, 7
69.80, 4
79.54, 4
81.44, 26
87.10, 18
88.98, 7

***

Calculated powder X-ray diffraction pattern
Compound: Pm3AlNi2
Radiation: Cu Kα X-rays
Structure: DFT lattice parameters and positions (GGA-PBE)
Lines closer than 0.1° are merged.

Atomic structure:
```
Pm3AlNi2
1.0
4.205 2.428 4.733
-4.205 2.428 4.733
0.000 -4.855 4.733
Pm Al Ni
6 2 4
Direct
0.065 0.750 0.435 Pm
0.250 0.565 0.935 Pm
0.435 0.065 0.750 Pm
0.565 0.935 0.250 Pm
0.750 0.435 0.065 Pm
0.935 0.250 0.565 Pm
0.000 0.000 0.000 Al
0.500 0.500 0.500 Al
0.165 0.165 0.165 Ni
0.335 0.335 0.335 Ni
0.665 0.665 0.665 Ni
0.835 0.835 0.835 Ni
```

Main lines, in order of rising 2θ (2θ from 10° to 90°):
2theta, I (rel.)
28.39, 100
37.03, 59
43.90, 30
47.31, 23
54.12, 9
58.74, 12
61.55, 19
62.92, 11
66.74, 9
71.51, 12
85.82, 6
87.03, 8

***

Calculated powder X-ray diffraction pattern
Compound: KNa2LaFe
Radiation: Cu Kα X-rays
Structure: DFT lattice parameters and positions (GGA-PBE)
Lines closer than 0.1° are merged.

Atomic structure:
```
KNa2LaFe
1.0
6.788 0.000 0.000
0.000 6.788 0.000
0.000 0.000 4.423
K Na La Fe
1 2 1 1
Direct
0.000 0.000 0.000 K
0.000 0.500 0.500 Na
0.500 0.000 0.500 Na
0.500 0.500 0.500 La
0.500 0.500 0.000 Fe
```

Main lines, in order of rising 2θ (2θ from 10° to 90°):
2theta, I (rel.)
13.04, 100
18.49, 70
24.01, 29
26.26, 68
29.42, 29
35.88, 20
37.48, 26
42.10, 16
45.14, 13
49.17, 23
51.10, 13
56.59, 15